Theoretical X-ray diffraction stick pattern of Pb3WO6 for Cu Kα, 1.54184 Å, from a GGA+U-relaxed structure.
Intensities are scaled so that the largest is 100.

Principal peaks in the range 2θ from 5° to 70°, sorted by position:
2θ 28.0, I = 51.8, (0 2 0); 2θ 29.1, I = 100.0, (1 1 1); 2θ 29.6, I = 96.9, (1 1 -3); 2θ 30.8, I = 45.5, (2 0 -2); 2θ 42.1, I = 62.4, (0 0 4); 2θ 50.2, I = 19.6, (1 3 1); 2θ 50.5, I = 18.7, (1 3 -3); 2θ 51.3, I = 20.6, (0 2 4); 2θ 53.4, I = 21.8, (3 1 -1); 2θ 54.3, I = 20.5, (3 1 -5)

Cell and atoms:
```
data_Pb3WO6
_symmetry_space_group_name_H-M 'P 1 21/c 1'
_symmetry_Int_Tables_number 14
_cell_length_a 5.8134
_cell_length_b 6.3817
_cell_length_c 10.2686
_cell_angle_alpha 90.00
_cell_angle_beta 123.19
_cell_angle_gamma 90.00
loop_
_symmetry_equiv_pos_as_xyz
'x,y,z'
'-x,-y,-z'
'-x,y+1/2,-z+1/2'
'x,-y+1/2,z+1/2'
loop_
_atom_site_label
_atom_site_fract_x
_atom_site_fract_y
_atom_site_fract_z
_atom_site_occupancy
Pb1 0.0000 0.0000 0.0000 1
Pb2 0.2270 0.0408 0.7341 1
W1 0.5000 0.0000 0.5000 1
O1 0.1790 0.1555 0.4684 1
O2 0.2749 0.7460 0.4284 1
O3 0.3899 0.0628 0.2845 1
```